Record 1
Theoretical powder X-ray diffraction pattern
Compound: NaNpCl14
Radiation: Cu Kα, 1.54184 Å
Structure: a PBE-relaxed structure
Lines closer than 0.1° are merged.

Lattice parameters (Å, degrees): 9.8044 8.1273 14.2845 90.00 90.00 90.00
Space group Amm2 (No. 38)
Asymmetric unit:
Na 0.0000 0.0000 0.0000
Np 0.0000 0.0000 0.5112
Cl 0.0000 0.2003 0.3766
Cl 0.1687 0.2003 0.5790
Cl 0.2693 0.0000 0.9097
Cl 0.3365 0.0000 0.2374
Cl 0.5000 0.0000 0.6557
Cl 0.5000 0.0000 0.9225
Cl 0.5000 0.2502 0.2135

The 10 most intense peaks (2θ from 10° to 90°), in order of falling intensity:
Position (°2θ), intensity, index
15.35, 100, 1 0 2
15.46, 88, 1 1 1
22.06, 42, 2 1 1
31.21, 37, 2 2 2
12.53, 32, 0 1 1
21.63, 31, 0 1 3
12.39, 29, 0 0 2
34.67, 26, 1 2 4
45.05, 24, 4 2 2
23.48, 23, 1 1 3


Record 2
Theoretical powder X-ray diffraction pattern
Compound: NaNpCl5
Radiation: Cu Kα, 1.54184 Å
Structure: a PBE-relaxed structure
Lines closer than 0.1° are merged.

Lattice parameters (Å, degrees): 11.7512 8.3075 10.3696 90.00 116.25 90.00
Space group C2/c (No. 15)
Asymmetric unit:
Na 0.0000 0.0234 0.2500
Np 0.0000 0.5000 0.0000
Cl 0.0000 0.3941 0.2500
Cl 0.0561 0.2069 0.9694
Cl 0.2349 0.4276 0.6373

The 10 most intense peaks (2θ from 10° to 90°), in order of falling intensity:
Position (°2θ), intensity, index
13.57, 100, 1 1 0
20.19, 64, 1 1 -2
19.08, 49, 2 0 -2
16.82, 49, 2 0 0
26.39, 25, 3 1 -2
39.88, 24, 5 1 -2
40.72, 23, 1 3 2
21.39, 22, 0 2 0
37.32, 21, 3 1 -4
54.27, 20, 6 2 -4


Record 3
Theoretical powder X-ray diffraction pattern
Compound: Na2NpS2Cl2
Radiation: Cu Kα, 1.54184 Å
Structure: a PBE-relaxed structure
Lines closer than 0.1° are merged.

Lattice parameters (Å, degrees): 5.2394 5.2394 14.2371 90.00 90.00 90.00
Space group I4/mmm (No. 139)
Asymmetric unit:
Na 0.0000 0.0000 0.1229
Np 0.0000 0.0000 0.5000
S 0.0000 0.5000 0.0000
Cl 0.0000 0.0000 0.3130

The 10 most intense peaks (2θ from 10° to 90°), in order of falling intensity:
Position (°2θ), intensity, index
18.04, 100, 1 0 1
12.43, 71, 0 0 2
24.02, 42, 1 1 0
35.89, 41, 1 0 5
34.23, 36, 2 0 0
25.32, 34, 1 0 3
50.44, 30, 2 1 5
38.96, 29, 2 1 1
36.55, 22, 2 0 2
43.05, 18, 2 1 3